Diffraction record for MnV5O12. The powder XRD pattern is computed, not measured: it uses a crystal structure in Alexandria, relaxed with GGA+U and Cu Kα, 1.54184 Å.
No peak broadening, texture or thermal motion is included.

a = 10.2409 Å, b = 9.2696 Å, c = 5.9203 Å
α = 90.00°, β = 110.60°, γ = 90.00°
Space group C2 (No. 5)
Inequivalent atoms, fractional coordinates:
Mn  0.0000  0.0000  0.0000
V  0.0000  0.8219  0.5000
V  0.2009  0.4980  0.4901
V  0.2036  0.3215  0.9965
O  0.1166  0.8377  0.8764
O  0.1187  0.9856  0.4004
O  0.1356  0.4188  0.1940
O  0.1406  0.6689  0.4748
O  0.1432  0.3972  0.6984
O  0.1519  0.1490  0.9837

Largest 10 diffraction maxima, by angle, 5° ≤ 2θ ≤ 70°:
index  d [Å]  2theta  Rel. int.
1 1 -1  4.889  18.1  44
0 2 0  4.635  19.1  50
1 1 1  3.826  23.3  25
0 2 1  3.555  25.0  21
2 2 -1  3.225  27.7  100
3 1 0  3.021  29.6  61
0 0 2  2.771  32.3  44
2 2 1  2.590  34.6  24
2 4 -1  2.059  44.0  24
5 3 -1  1.707  53.7  19